Record 1
Structure and computed powder diffraction line list of AsRu2Pb (a crystal structure in Alexandria, relaxed with PBE; CuKα).
No peak broadening, texture or thermal motion is included.

Structure:
```
data_AsRu2Pb
_chemical_formula_sum 'As1 Ru2 Pb1'
_symmetry_space_group_name_H-M 'P 1'
_symmetry_Int_Tables_number 1
_symmetry_space_group_name_Hall 'P 1'
_cell_length_a 4.5548
_cell_length_b 4.5548
_cell_length_c 3.2366
_cell_angle_alpha 90.00
_cell_angle_beta 90.00
_cell_angle_gamma 90.00
loop_
_atom_site_label
_atom_site_type_symbol
_atom_site_fract_x
_atom_site_fract_y
_atom_site_fract_z
As1 As 0.0000 0.0000 0.0000
Ru1 Ru 0.0000 0.5000 0.5000
Ru2 Ru 0.5000 0.0000 0.5000
Pb1 Pb 0.5000 0.5000 0.0000
```

Peak list (8 most intense, 5 to 70 degrees two-theta, low angle first)
19.49 deg, I 19, hkl 1 0 0; 33.98 deg, I 10, hkl 1 0 1; 39.47 deg, I 100, hkl 1 1 1; 39.57 deg, I 50, hkl 2 0 0; 44.48 deg, I 5, hkl 2 1 0; 53.13 deg, I 6, hkl 2 1 1; 56.90 deg, I 9, hkl 0 0 2; 57.20 deg, I 17, hkl 2 2 0



Record 2
Structure and computed powder diffraction line list of As2Pb2S5 (a crystal structure in Alexandria, relaxed with PBE; CuKα).
No peak broadening, texture or thermal motion is included.

Structure:
```
data_As2Pb2S5
_chemical_formula_sum 'As2 Pb2 S5'
_symmetry_space_group_name_H-M 'P 1'
_symmetry_Int_Tables_number 1
_symmetry_space_group_name_Hall 'P 1'
_cell_length_a 3.9242
_cell_length_b 8.2517
_cell_length_c 8.7762
_cell_angle_alpha 106.63
_cell_angle_beta 101.04
_cell_angle_gamma 90.47
loop_
_atom_site_label
_atom_site_type_symbol
_atom_site_fract_x
_atom_site_fract_y
_atom_site_fract_z
As1 As 0.0925 0.0973 0.3601
As2 As 0.9075 0.9027 0.6399
Pb1 Pb 0.0841 0.5408 0.2458
Pb2 Pb 0.9159 0.4592 0.7542
S1 S 0.2882 0.1479 0.6362
S2 S 0.3076 0.7048 0.6412
S3 S 0.5000 0.5000 0.0000
S4 S 0.6924 0.2952 0.3588
S5 S 0.7118 0.8521 0.3638
```

Peak list (8 most intense, 5 to 70 degrees two-theta, low angle first)
10.74 deg, I 34, hkl 0 0 1; 11.22 deg, I 100, hkl 0 1 0; 21.58 deg, I 56, hkl 0 0 2; 22.54 deg, I 37, hkl 0 2 0; 23.14 deg, I 44, hkl 1 0 0; 27.21 deg, I 34, hkl 0 1 2; 31.39 deg, I 48, hkl 1 -2 0; 31.60 deg, I 47, hkl 1 2 -1



Copy entry 2 word for word.
Structure and computed powder diffraction line list of As2Pb2S5 (a crystal structure in Alexandria, relaxed with PBE; CuKα).
No peak broadening, texture or thermal motion is included.

Structure:
```
data_As2Pb2S5
_chemical_formula_sum 'As2 Pb2 S5'
_symmetry_space_group_name_H-M 'P 1'
_symmetry_Int_Tables_number 1
_symmetry_space_group_name_Hall 'P 1'
_cell_length_a 3.9242
_cell_length_b 8.2517
_cell_length_c 8.7762
_cell_angle_alpha 106.63
_cell_angle_beta 101.04
_cell_angle_gamma 90.47
loop_
_atom_site_label
_atom_site_type_symbol
_atom_site_fract_x
_atom_site_fract_y
_atom_site_fract_z
As1 As 0.0925 0.0973 0.3601
As2 As 0.9075 0.9027 0.6399
Pb1 Pb 0.0841 0.5408 0.2458
Pb2 Pb 0.9159 0.4592 0.7542
S1 S 0.2882 0.1479 0.6362
S2 S 0.3076 0.7048 0.6412
S3 S 0.5000 0.5000 0.0000
S4 S 0.6924 0.2952 0.3588
S5 S 0.7118 0.8521 0.3638
```

Peak list (8 most intense, 5 to 70 degrees two-theta, low angle first)
10.74 deg, I 34, hkl 0 0 1; 11.22 deg, I 100, hkl 0 1 0; 21.58 deg, I 56, hkl 0 0 2; 22.54 deg, I 37, hkl 0 2 0; 23.14 deg, I 44, hkl 1 0 0; 27.21 deg, I 34, hkl 0 1 2; 31.39 deg, I 48, hkl 1 -2 0; 31.60 deg, I 47, hkl 1 2 -1